Calculated X-ray diffraction stick pattern
Compound: Tm3Al5Ni
Radiation: Cu Kα X-rays
Structure: a structure optimized by DFT (PBE)
No peak broadening, texture or thermal motion is included.

Cell and atoms:
Cell: 6.8844 6.8844 4.2767 Å, 90.00 90.00 120.00°
Space group P-62m (No. 189)
Unique sites:
Tm 0.0000 0.4051 0.0000
Al 0.0000 0.7692 0.5000
Al 0.3333 0.6667 0.5000
Ni 0.0000 0.0000 0.0000

Largest 6 diffraction maxima, by angle, 5 to 70 degrees two-theta:
20.77°, d 4.277, intensity 53, (0 0 1); 25.88°, d 3.442, intensity 52, (1 1 0); 29.97°, d 2.981, intensity 33, (2 0 0); 33.42°, d 2.682, intensity 100, (1 1 1); 36.75°, d 2.446, intensity 69, (2 0 1); 59.98°, d 1.542, intensity 35, (3 1 1)